Structure and simulated X-ray diffraction stick pattern of MnCu4Sn (the GGA-PBE geometry in the Materials Project; Cu Kα).
Intensities are scaled so that the largest is 100.

Most intense lines, 2θ = 10–90°, in order of rising 2θ:
2θ = 22.0°, I = 5; 2θ = 25.5°, I = 6; 2θ = 36.3°, I = 35; 2θ = 42.9°, I = 100; 2θ = 44.9°, I = 33; 2θ = 59.1°, I = 3; 2θ = 65.4°, I = 13; 2θ = 69.9°, I = 30; 2θ = 77.2°, I = 23; 2θ = 88.4°, I = 6

Structure:
Cell lengths 6.9935, 6.9935, 6.9935 Å; angles 90.00, 90.00, 90.00 degrees
Space group F-43m (No. 216)
Inequivalent atoms, fractional coordinates:
Mn  0.0000  0.0000  0.0000 (multiplicity 4)
Cu  0.1255  0.1255  0.6255 (multiplicity 16)
Sn  0.2500  0.2500  0.2500 (multiplicity 4)